Starting from a crystal structure in Alexandria, relaxed with GGA-PBE, the X-ray powder pattern of KHg10Au2 was computed for Cu Ka.
Neutral-atom scattering factors, no anomalous dispersion.

The 12 most intense peaks (10° ≤ 2θ ≤ 80°), in order of rising 2θ:
hkl  d/Å  Position (°2θ)  I/Imax
1 3 -1  3.094  28.86  68.9
2 1 -2  2.937  30.43  57.7
1 2 2  2.903  30.80  71.9
2 2 1  2.878  31.08  48.6
2 0 2  2.677  33.47  57.7
2 3 0  2.666  33.62  43.0
0 1 3  2.630  34.09  67.7
1 1 -3  2.600  34.49  87.1
3 1 -1  2.553  35.15  49.5
1 4 -1  2.464  36.47  100.0
1 4 1  2.407  37.36  59.7
3 1 -2  2.314  38.92  42.0

Crystal structure
Cell: 8.031 10.770 8.213 Å, 90.00 97.52 90.00°
Atoms (fractional coordinates):
K 0.077 0.000 0.405
K 0.923 0.500 0.595
Hg 0.049 0.923 0.972
Hg 0.133 0.228 0.736
Hg 0.169 0.320 0.366
Hg 0.221 0.739 0.661
Hg 0.231 0.599 0.306
Hg 0.317 0.480 0.889
Hg 0.320 0.150 0.112
Hg 0.393 0.005 0.771
Hg 0.407 0.780 0.049
Hg 0.491 0.880 0.408
Hg 0.509 0.380 0.592
Hg 0.593 0.280 0.951
Hg 0.607 0.505 0.229
Hg 0.680 0.650 0.888
Hg 0.683 0.980 0.111
Hg 0.769 0.099 0.694
Hg 0.779 0.239 0.339
Hg 0.831 0.820 0.634
Hg 0.867 0.728 0.264
Hg 0.951 0.423 0.028
Au 0.061 0.664 0.970
Au 0.468 0.139 0.457
Au 0.532 0.639 0.543
Au 0.939 0.164 0.030